# LiZnCdAu2
Computed XRD peak list, CuKα. Input: a structure optimized by DFT (PBE).
Neutral-atom scattering factors, no anomalous dispersion.

Principal peaks in the range 15° ≤ 2θ ≤ 90°, in order of rising 2θ:
2θ/deg  I_rel  index
19.47  25  1 0 1
25.70  29  1 1 0
37.83  100  1 1 -2
38.29  78  2 1 1
43.81  28  0 2 0
44.04  26  1 0 3

Atomic structure:
abc: 6.371 4.132 6.527
angles: 90.00 90.23 90.00
Space group P2_1/m (No. 11)
Asymmetric unit:
Li (0.063, 0.250, 0.170) [2 per cell]
Zn (0.448, 0.250, 0.330) [2 per cell]
Cd (0.229, 0.250, 0.749) [2 per cell]
Au (0.182, 0.750, 0.446) [2 per cell]
Au (0.334, 0.750, 0.037) [2 per cell]

***

# Li2Zn2CdAu2
Computed XRD peak list, CuKα. Input: a structure optimized by DFT (PBE).
Neutral-atom scattering factors, no anomalous dispersion.

Principal peaks in the range 15° ≤ 2θ ≤ 90°, in order of rising 2θ:
2θ/deg  I_rel  index
26.29  37  0 0 2
28.87  100  1 1 1
29.19  47  2 0 -2
38.46  67  1 1 2
39.80  100  3 1 -1
41.31  51  0 2 0

Atomic structure:
abc: 7.953 4.370 7.166
angles: 90.00 108.93 90.00
Space group C2/m (No. 12)
Asymmetric unit:
Li (0.140, 0.000, 0.415) [4 per cell]
Zn (0.069, 0.500, 0.716) [4 per cell]
Cd (0.000, 0.000, 0.000) [2 per cell]
Au (0.234, 0.500, 0.202) [4 per cell]

***

# LiZnCdAu
Computed XRD peak list, CuKα. Input: a structure optimized by DFT (PBE).
Neutral-atom scattering factors, no anomalous dispersion.

Principal peaks in the range 15° ≤ 2θ ≤ 90°, in order of rising 2θ:
2θ/deg  I_rel  index
24.01  27  1 0 1
27.33  50  1 1 0
28.69  22  0 0 2
39.03  54  2 0 0
40.04  100  1 1 2
71.38  35  3 1 2

Atomic structure:
abc: 4.616 4.616 6.223
angles: 90.00 90.00 90.00
Space group I-4m2 (No. 119)
Asymmetric unit:
Li (0.000, 0.000, 0.000) [2 per cell]
Zn (0.000, 0.000, 0.500) [2 per cell]
Cd (0.000, 0.500, 0.250) [2 per cell]
Au (0.000, 0.500, 0.750) [2 per cell]

***

# Mg3CdAu5
Computed XRD peak list, CuKα. Input: a structure optimized by DFT (PBE).
Neutral-atom scattering factors, no anomalous dispersion.

Principal peaks in the range 15° ≤ 2θ ≤ 90°, in order of rising 2θ:
2θ/deg  I_rel  index
26.81  35  1 1 1
38.27  100  3 0 0
47.36  7  2 2 1
55.24  17  2 2 2
69.21  25  3 3 0
77.73  13  3 0 4

Atomic structure:
abc: 8.1432 8.1432 5.7642
angles: 90.00 90.00 120.00
Space group P6_3/mcm (No. 193)
Asymmetric unit:
Mg (0.0000, 0.3557, 0.2500) [6 per cell]
Cd (0.0000, 0.0000, 0.0000) [2 per cell]
Au (0.0000, 0.3161, 0.7500) [6 per cell]
Au (0.3333, 0.6667, 0.0000) [4 per cell]

***

# Mg5Cd4Au4
Computed XRD peak list, CuKα. Input: a structure optimized by DFT (PBE).
Neutral-atom scattering factors, no anomalous dispersion.

Principal peaks in the range 15° ≤ 2θ ≤ 90°, in order of rising 2θ:
2θ/deg  I_rel  index
22.57  28  1 0 1
24.86  41  3 1 0
35.68  100  3 2 1
39.18  26  1 4 1
40.61  21  1 5 0
43.06  18  0 0 2

Atomic structure:
abc: 11.328 11.328 4.202
angles: 90.00 90.00 90.00
Space group I4/m (No. 87)
Asymmetric unit:
Mg (0.000, 0.000, 0.000) [2 per cell]
Mg (0.122, 0.800, 0.500) [8 per cell]
Cd (0.093, 0.391, 0.500) [8 per cell]
Au (0.072, 0.224, 0.000) [8 per cell]

***

# MgCd2Au4
Computed XRD peak list, CuKα. Input: a structure optimized by DFT (PBE).
Neutral-atom scattering factors, no anomalous dispersion.

Principal peaks in the range 15° ≤ 2θ ≤ 90°, in order of rising 2θ:
2θ/deg  I_rel  index
25.20  17  1 1 2
33.31  10  0 2 4
38.40  100  2 0 0
55.43  16  0 4 5
69.40  11  3 1 5
69.49  20  3 3 0

Atomic structure:
abc: 4.688 8.111 14.372
angles: 90.00 90.00 90.00
Space group Cmcm (No. 63)
Asymmetric unit:
Mg (0.000, 0.001, 0.250) [4 per cell]
Cd (0.000, 0.334, 0.057) [8 per cell]
Au (0.000, 0.000, 0.000) [4 per cell]
Au (0.000, 0.332, 0.650) [8 per cell]
Au (0.000, 0.334, 0.250) [4 per cell]

***

# Mg5Cd4Au2
Computed XRD peak list, CuKα. Input: a structure optimized by DFT (PBE).
Neutral-atom scattering factors, no anomalous dispersion.

Principal peaks in the range 15° ≤ 2θ ≤ 90°, in order of rising 2θ:
2θ/deg  I_rel  index
23.16  67  1 4 0
25.26  57  2 2 0
26.76  100  0 0 1
35.68  89  1 4 1
37.13  83  2 2 1
38.89  83  1 5 1

Atomic structure:
abc: 7.687 17.734 3.331
angles: 90.00 90.00 90.00
Space group Pbam (No. 55)
Asymmetric unit:
Mg (0.000, 0.000, 0.000) [2 per cell]
Mg (0.130, 0.423, 0.000) [4 per cell]
Mg (0.246, 0.719, 0.000) [4 per cell]
Cd (0.067, 0.854, 0.500) [4 per cell]
Cd (0.206, 0.566, 0.500) [4 per cell]
Au (0.042, 0.305, 0.500) [4 per cell]

***

# MgCd5Au3
Computed XRD peak list, CuKα. Input: a structure optimized by DFT (PBE).
Neutral-atom scattering factors, no anomalous dispersion.

Principal peaks in the range 15° ≤ 2θ ≤ 90°, in order of rising 2θ:
2θ/deg  I_rel  index
19.71  100  0 2 0
23.35  82  2 0 -2
36.73  79  2 0 -4
36.80  69  1 3 2
38.49  48  4 0 0
40.02  56  0 4 0

Atomic structure:
abc: 9.511 9.010 10.448
angles: 90.00 100.34 90.00
Space group C2/m (No. 12)
Asymmetric unit:
Mg (0.006, 0.000, 0.247) [4 per cell]
Cd (0.000, 0.306, 0.000) [4 per cell]
Cd (0.031, 0.500, 0.343) [4 per cell]
Cd (0.207, 0.204, 0.643) [8 per cell]
Cd (0.218, 0.500, 0.871) [4 per cell]
Au (0.000, 0.000, 0.000) [2 per cell]
Au (0.000, 0.000, 0.500) [2 per cell]
Au (0.211, 0.500, 0.146) [4 per cell]
Au (0.236, 0.500, 0.587) [4 per cell]

***

# Mg2CdPbAu4
Computed XRD peak list, CuKα. Input: a structure optimized by DFT (PBE).
Neutral-atom scattering factors, no anomalous dispersion.

Principal peaks in the range 15° ≤ 2θ ≤ 90°, in order of rising 2θ:
2θ/deg  I_rel  index
22.76  22  0 1 2
25.95  31  1 0 4
36.17  100  0 1 8
37.87  97  1 1 0
53.37  33  2 0 8
67.29  33  1 2 8

Atomic structure:
abc: 4.7510 4.7510 24.9208
angles: 90.00 90.00 120.00
Space group R-3m (No. 166, hexagonal axes)
Asymmetric unit:
Mg (0.0000, 0.0000, 0.2453) [6 per cell]
Cd (0.0000, 0.0000, 0.5000) [3 per cell]
Pb (0.0000, 0.0000, 0.0000) [3 per cell]
Au (0.0000, 0.0000, 0.1292) [6 per cell]
Au (0.0000, 0.0000, 0.3845) [6 per cell]

***

# Mg2CdPdAu5
Computed XRD peak list, CuKα. Input: a structure optimized by DFT (PBE).
Neutral-atom scattering factors, no anomalous dispersion.

Principal peaks in the range 15° ≤ 2θ ≤ 90°, in order of rising 2θ:
2θ/deg  I_rel  index
25.67  42  2 1 1
30.84  79  2 2 0
35.06  40  2 1 3
40.20  100  2 0 4
46.44  30  4 1 1
52.67  26  4 1 3

Atomic structure:
abc: 8.200 8.200 10.722
angles: 90.00 90.00 90.00
Space group I4/mcm (No. 140)
Asymmetric unit:
Mg (0.115, 0.385, 0.000) [8 per cell]
Cd (0.000, 0.000, 0.250) [4 per cell]
Pd (0.000, 0.500, 0.250) [4 per cell]
Au (0.000, 0.000, 0.000) [4 per cell]
Au (0.199, 0.301, 0.368) [16 per cell]

***

# MgCd2Pd5Au
Computed XRD peak list, CuKα. Input: a structure optimized by DFT (PBE).
Neutral-atom scattering factors, no anomalous dispersion.

Principal peaks in the range 15° ≤ 2θ ≤ 90°, in order of rising 2θ:
2θ/deg  I_rel  index
34.87  39  2 1 3
36.04  100  2 0 4
37.73  63  2 2 0
44.20  46  3 1 2
45.56  35  2 0 6
67.02  35  4 2 4

Atomic structure:
abc: 6.744 6.744 14.801
angles: 90.00 90.00 90.00
Space group I4/mcm (No. 140)
Asymmetric unit:
Mg (0.000, 0.000, 0.250) [4 per cell]
Cd (0.135, 0.365, 0.000) [8 per cell]
Pd (0.000, 0.000, 0.000) [4 per cell]
Pd (0.232, 0.268, 0.347) [16 per cell]
Au (0.000, 0.500, 0.250) [4 per cell]

***

# Mg2Zn2CdAu5
Computed XRD peak list, CuKα. Input: a structure optimized by DFT (PBE).
Neutral-atom scattering factors, no anomalous dispersion.

Principal peaks in the range 15° ≤ 2θ ≤ 90°, in order of rising 2θ:
2θ/deg  I_rel  index
19.83  19  2 1 0
23.74  28  0 0 1
28.19  21  3 1 0
37.18  100  3 1 1
40.29  21  4 2 0
40.43  25  3 2 1

Atomic structure:
abc: 10.011 10.011 3.747
angles: 90.00 90.00 90.00
Space group P4/mbm (No. 127)
Asymmetric unit:
Mg (0.164, 0.336, 0.000) [4 per cell]
Zn (0.130, 0.630, 0.000) [4 per cell]
Cd (0.000, 0.000, 0.000) [2 per cell]
Au (0.000, 0.500, 0.500) [2 per cell]
Au (0.114, 0.819, 0.500) [8 per cell]